(1)
Structure and theoretical XRD peak list of LiCo2PdC (a GGA-PBE-relaxed structure; Cu Kα, 1.54184 Å).
Peak positions follow from Bragg's law for the DFT cell and can differ from measured ones.

The 8 most intense peaks (5 to 70 degrees two-theta), most intense first:
d_spacing  2θ/deg  intensity  index
2.196  41.10  100  1 1 1
2.746  32.61  48  1 0 1
3.658  24.33  33  1 0 0
1.829  49.85  33  2 0 0
2.077  43.57  25  0 0 2
1.373  68.33  24  2 0 2
1.522  60.85  15  2 1 1
1.806  50.53  9  1 0 2

Structure:
a = 3.658 Å, b = 3.658 Å, c = 4.154 Å
α = 90.00°, β = 90.00°, γ = 90.00°
Space group P4/mmm (No. 123)
Unique sites:
Li: 0.000 0.000 0.000 [1 per cell]
Co: 0.000 0.500 0.500 [2 per cell]
Pd: 0.500 0.500 0.000 [1 per cell]
C: 0.000 0.000 0.500 [1 per cell]

=====

(2)
Structure and theoretical XRD peak list of LuCoC (a GGA-PBE-relaxed structure; Cu Kα, 1.54184 Å).
Peak positions follow from Bragg's law for the DFT cell and can differ from measured ones.

The 8 most intense peaks (5 to 70 degrees two-theta), most intense first:
d_spacing  2θ/deg  intensity  index
2.437  36.88  100  1 0 2
2.538  35.37  51  1 1 0
1.445  64.49  38  2 1 2
3.589  24.81  30  1 0 0
1.794  50.89  21  2 0 0
1.389  67.41  16  1 1 4
2.016  44.96  15  1 1 2
3.320  26.85  10  0 0 2

Structure:
a = 3.589 Å, b = 3.589 Å, c = 6.640 Å
α = 90.00°, β = 90.00°, γ = 90.00°
Space group P4_2/mmc (No. 131)
Unique sites:
Lu: 0.000 0.000 0.250 [2 per cell]
Co: 0.500 0.500 0.000 [2 per cell]
C: 0.000 0.500 0.000 [2 per cell]

=====

(3)
Structure and theoretical XRD peak list of LuCoC6N6 (a GGA-PBE-relaxed structure; Cu Kα, 1.54184 Å).
Peak positions follow from Bragg's law for the DFT cell and can differ from measured ones.

The 8 most intense peaks (5 to 70 degrees two-theta), most intense first:
d_spacing  2θ/deg  intensity  index
5.708  15.52  100  1 0 1
4.528  19.60  50  1 0 2
2.423  37.11  23  1 1 4
3.676  24.21  22  1 1 0
2.557  35.09  20  2 0 3
2.366  38.04  18  2 1 1
3.560  25.01  14  1 0 3
2.854  31.34  12  2 0 2

Structure:
a = 7.3519 Å, b = 7.3519 Å, c = 12.8836 Å
α = 90.00°, β = 90.00°, γ = 120.00°
Space group P6_3/mmc (No. 194)
Unique sites:
Lu: 0.3333 0.6667 0.2500 [2 per cell]
Co: 0.0000 0.0000 0.0000 [2 per cell]
C: 0.1194 0.2389 0.0841 [12 per cell]
N: 0.1934 0.3869 0.1379 [12 per cell]

=====

(4)
Structure and theoretical XRD peak list of Mg6CoC (a GGA-PBE-relaxed structure; Cu Kα, 1.54184 Å).
Peak positions follow from Bragg's law for the DFT cell and can differ from measured ones.

The 8 most intense peaks (5 to 70 degrees two-theta), most intense first:
d_spacing  2θ/deg  intensity  index
2.311  38.97  100  1 2 2
2.359  38.15  87  1 1 3
6.435  13.76  86  0 1 1
2.850  31.39  50  1 0 2
2.562  35.03  45  0 3 1
2.029  44.67  34  1 3 1
1.797  50.81  24  1 1 5
2.145  42.13  24  0 3 3

Structure:
a = 3.322 Å, b = 7.899 Å, c = 11.097 Å
α = 90.00°, β = 90.00°, γ = 90.00°
Space group Amm2 (No. 38)
Unique sites:
Mg: 0.000 0.000 0.000 [2 per cell]
Mg: 0.000 0.176 0.304 [4 per cell]
Mg: 0.500 0.000 0.781 [2 per cell]
Mg: 0.500 0.179 0.541 [4 per cell]
Co: 0.500 0.000 0.167 [2 per cell]
C: 0.000 0.000 0.476 [2 per cell]

=====

(5)
Structure and theoretical XRD peak list of Mg2VCoC (a GGA-PBE-relaxed structure; Cu Kα, 1.54184 Å).
Peak positions follow from Bragg's law for the DFT cell and can differ from measured ones.

The 8 most intense peaks (5 to 70 degrees two-theta), most intense first:
d_spacing  2θ/deg  intensity  index
2.396  37.54  100  1 1 1
2.121  42.63  44  2 0 0
1.452  64.16  23  2 0 2
2.999  29.79  21  1 1 0
1.991  45.57  18  0 0 2
1.500  61.87  13  2 2 0
3.982  22.33  10  0 0 1
1.659  55.39  6  1 1 2

Structure:
a = 4.242 Å, b = 4.242 Å, c = 3.982 Å
α = 90.00°, β = 90.00°, γ = 90.00°
Space group P4/mmm (No. 123)
Unique sites:
Mg: 0.000 0.500 0.000 [2 per cell]
V: 0.000 0.000 0.500 [1 per cell]
Co: 0.500 0.500 0.500 [1 per cell]
C: 0.000 0.000 0.000 [1 per cell]

=====

(6)
Structure and theoretical XRD peak list of Mn8Co2C (a GGA-PBE-relaxed structure; Cu Kα, 1.54184 Å).
Peak positions follow from Bragg's law for the DFT cell and can differ from measured ones.

The 8 most intense peaks (5 to 70 degrees two-theta), most intense first:
d_spacing  2θ/deg  intensity  index
1.951  46.55  100  1 1 3
1.756  52.07  48  2 0 0
2.199  41.05  45  1 1 2
1.891  48.11  21  0 0 5
2.402  37.43  12  1 1 1
1.712  53.51  5  1 1 4
9.457  9.35  4  0 0 1
1.576  58.57  4  0 0 6

Structure:
a = 3.513 Å, b = 3.513 Å, c = 9.457 Å
α = 90.00°, β = 90.00°, γ = 90.00°
Space group P4/mmm (No. 123)
Unique sites:
Mn: 0.000 0.000 0.195 [2 per cell]
Mn: 0.000 0.500 0.000 [2 per cell]
Mn: 0.000 0.500 0.375 [4 per cell]
Co: 0.500 0.500 0.186 [2 per cell]
C: 0.500 0.500 0.500 [1 per cell]

=====

(7)
Structure and theoretical XRD peak list of Mn22CoC6 (a GGA-PBE-relaxed structure; Cu Kα, 1.54184 Å).
Peak positions follow from Bragg's law for the DFT cell and can differ from measured ones.

The 8 most intense peaks (5 to 70 degrees two-theta), most intense first:
d_spacing  2θ/deg  intensity  index
2.002  45.29  100  3 3 3
2.124  42.57  29  4 2 2
1.759  52.00  24  5 3 1
2.326  38.71  22  4 2 0
1.839  49.57  21  4 4 0
1.734  52.80  14  6 0 0
1.568  58.88  7  6 2 2
2.601  34.48  5  4 0 0

Structure:
a = 10.404 Å, b = 10.404 Å, c = 10.404 Å
α = 90.00°, β = 90.00°, γ = 90.00°
Space group Fm-3m (No. 225)
Unique sites:
Mn: 0.000 0.167 0.167 [48 per cell]
Mn: 0.118 0.118 0.382 [32 per cell]
Mn: 0.250 0.250 0.250 [8 per cell]
Co: 0.000 0.000 0.000 [4 per cell]
C: 0.000 0.000 0.276 [24 per cell]

=====

(8)
Structure and theoretical XRD peak list of Mn2CoNiC (a GGA-PBE-relaxed structure; Cu Kα, 1.54184 Å).
Peak positions follow from Bragg's law for the DFT cell and can differ from measured ones.

The 6 most intense peaks (5 to 70 degrees two-theta), most intense first:
d_spacing  2θ/deg  intensity  index
2.191  41.19  100  1 1 1
1.928  47.15  39  2 0 0
1.842  49.48  17  0 0 2
1.363  68.88  11  2 2 0
2.726  32.85  1  1 1 0
2.664  33.65  1  1 0 1

Structure:
a = 3.855 Å, b = 3.855 Å, c = 3.684 Å
α = 90.00°, β = 90.00°, γ = 90.00°
Space group P4/mmm (No. 123)
Unique sites:
Mn: 0.000 0.500 0.000 [2 per cell]
Co: 0.000 0.000 0.500 [1 per cell]
Ni: 0.500 0.500 0.500 [1 per cell]
C: 0.000 0.000 0.000 [1 per cell]